1.
# Pm3Y2Ag2
Calculated PXRD pattern, Cu Kα. Input: a DFT-relaxed cell (GGA-PBE, Alexandria).
Intensities are scaled so that the largest is 100.

Largest 8 diffraction maxima, by angle, 10 to 90 degrees two-theta:
| 2θ (°) | d (Å) | intensity |
| --- | --- | --- |
| 30.42 | 2.938 | 73 |
| 30.91 | 2.893 | 53 |
| 31.37 | 2.852 | 92 |
| 32.86 | 2.726 | 41 |
| 33.47 | 2.677 | 100 |
| 34.76 | 2.581 | 74 |
| 37.92 | 2.373 | 37 |
| 47.95 | 1.897 | 32 |

Crystal structure
Cell: 6.763 6.763 9.311 Å, 114.05 114.05 32.58°
Element x y z (fractional)
Pm 0.000 0.000 0.000
Pm 0.110 0.110 0.445
Pm 0.890 0.890 0.555
Y 0.352 0.352 0.187
Y 0.648 0.648 0.813
Ag 0.326 0.326 0.777
Ag 0.674 0.674 0.223

---

2.
# CaCeYAl
Calculated PXRD pattern, Cu Kα. Input: a DFT-relaxed cell (GGA-PBE, Alexandria).
Intensities are scaled so that the largest is 100.

Largest 8 diffraction maxima, by angle, 10 to 90 degrees two-theta:
| 2θ (°) | d (Å) | intensity |
| --- | --- | --- |
| 23.17 | 3.838 | 35 |
| 33.00 | 2.714 | 100 |
| 40.72 | 2.216 | 11 |
| 47.37 | 1.919 | 18 |
| 53.38 | 1.716 | 15 |
| 58.94 | 1.567 | 36 |
| 69.24 | 1.357 | 11 |
| 78.86 | 1.214 | 15 |

Crystal structure
Cell: 5.428 5.428 5.428 Å, 60.00 60.00 60.00°
Element x y z (fractional)
Ca 0.000 0.000 0.000
Ce 0.250 0.250 0.250
Y 0.750 0.750 0.750
Al 0.500 0.500 0.500

---

3.
# Ti2InBi
Calculated PXRD pattern, Cu Kα. Input: a DFT-relaxed cell (GGA-PBE, Alexandria).
Intensities are scaled so that the largest is 100.

Largest 8 diffraction maxima, by angle, 10 to 90 degrees two-theta:
| 2θ (°) | d (Å) | intensity |
| --- | --- | --- |
| 23.96 | 3.713 | 74 |
| 25.63 | 3.476 | 65 |
| 31.46 | 2.844 | 27 |
| 35.26 | 2.545 | 100 |
| 41.10 | 2.196 | 77 |
| 44.00 | 2.058 | 38 |
| 52.60 | 1.740 | 30 |
| 55.24 | 1.663 | 27 |

Crystal structure
Cell: 6.247 6.247 6.247 Å, 41.17 41.17 41.17°
Element x y z (fractional)
Ti 0.000 0.000 0.000
Ti 0.170 0.170 0.170
In 0.412 0.412 0.412
Bi 0.588 0.588 0.588